Starting from the PBE+U geometry in Alexandria, the PXRD pattern of K2CeVO6 was simulated for Cu Ka.
No peak broadening, texture or thermal motion is included.

Crystal structure
Cell lengths 6.2504, 6.2504, 5.8000 Å; angles 90.00, 90.00, 120.00 degrees
Fractional coordinates of all 10 atoms:
K 0.3333 0.6667 0.0889
K 0.6667 0.3333 0.9111
Ce 0.0000 0.0000 0.5000
V 0.0000 0.0000 0.0000
O 0.1368 0.2735 0.7939
O 0.1368 0.8632 0.7939
O 0.2735 0.1368 0.2061
O 0.7265 0.8632 0.7939
O 0.8632 0.1368 0.2061
O 0.8632 0.7265 0.2061

Largest 10 diffraction maxima, by intensity, 10 to 90 degrees two-theta:
d_spacing, I (rel.), (hkl)
5.413, 100, 1 0 0
3.125, 44, 1 1 0
3.957, 33, 1 0 1
2.126, 28, 1 1 2
2.453, 22, 0 2 1
1.979, 20, 2 0 2
2.556, 18, 0 1 2
1.672, 17, 1 2 2
1.929, 12, 1 2 1
1.532, 10, 3 0 2